[1]
Calculated PXRD pattern
Compound: Be2ReH6
Radiation: Cu Kα, 1.54184 Å
Structure: a cell relaxed with PBE

Principal peaks in the range 10 to 90 degrees two-theta, most intense first:
- 2θ = 25.05°, rel. 100, (1 1 1)
- 2θ = 49.07°, rel. 51, (3 1 1)
- 2θ = 29.00°, rel. 48, (2 0 0)
- 2θ = 41.48°, rel. 45, (2 2 0)
- 2θ = 66.15°, rel. 21, (3 3 1)
- 2θ = 68.10°, rel. 17, (4 2 0)
- 2θ = 75.66°, rel. 16, (4 2 2)
- 2θ = 81.17°, rel. 16, (3 3 3)
- 2θ = 51.40°, rel. 12, (2 2 2)
- 2θ = 60.10°, rel. 8, (4 0 0)

Cell lengths 6.158, 6.158, 6.158 Å; angles 90.00, 90.00, 90.00 degrees
Space group Fm-3m (No. 225)
Unique sites:
Be (0.250, 0.250, 0.250)
Re (0.000, 0.000, 0.000)
H (0.000, 0.000, 0.277)


[2]
Calculated PXRD pattern
Compound: BeReH
Radiation: Cu Kα, 1.54184 Å
Structure: a cell relaxed with PBE

Principal peaks in the range 10 to 90 degrees two-theta, most intense first:
- 2θ = 32.94°, rel. 100, (1 1 0)
- 2θ = 33.38°, rel. 64, (2 0 -2)
- 2θ = 44.95°, rel. 47, (3 1 -1)
- 2θ = 21.95°, rel. 46, (2 0 -1)
- 2θ = 47.05°, rel. 45, (1 1 -2)
- 2θ = 43.79°, rel. 41, (1 1 1)
- 2θ = 20.84°, rel. 36, (0 0 1)
- 2θ = 43.95°, rel. 32, (2 0 1)
- 2θ = 48.15°, rel. 32, (3 1 -2)
- 2θ = 27.24°, rel. 29, (2 0 0)

Cell lengths 8.259, 2.989, 5.376 Å; angles 90.00, 127.54, 90.00 degrees
Space group C2/m (No. 12)
Unique sites:
Be (0.197, 0.000, 0.101)
Re (0.080, 0.500, 0.324)
H (0.064, 0.000, 0.726)


[3]
Calculated PXRD pattern
Compound: BeSbH
Radiation: Cu Kα, 1.54184 Å
Structure: a cell relaxed with PBE

Principal peaks in the range 10 to 90 degrees two-theta, most intense first:
- 2θ = 26.48°, rel. 100, (0 1 1)
- 2θ = 20.62°, rel. 97, (1 0 0)
- 2θ = 33.80°, rel. 93, (1 1 1)
- 2θ = 43.83°, rel. 51, (1 2 1)
- 2θ = 15.54°, rel. 42, (0 1 0)
- 2θ = 25.92°, rel. 39, (1 1 0)
- 2θ = 50.30°, rel. 34, (2 1 1)
- 2θ = 38.24°, rel. 32, (0 2 1)
- 2θ = 48.52°, rel. 22, (1 0 2)
- 2θ = 73.54°, rel. 20, (1 4 1)

Cell lengths 4.308, 5.703, 4.169 Å; angles 90.00, 90.00, 90.00 degrees
Space group Pmc2_1 (No. 26)
Unique sites:
Be (0.000, 0.128, 0.000)
Sb (0.500, 0.332, 0.070)
H (0.000, 0.098, 0.654)


[4]
Calculated PXRD pattern
Compound: BeSbH
Radiation: Cu Kα, 1.54184 Å
Structure: a cell relaxed with PBE

Principal peaks in the range 10 to 90 degrees two-theta, most intense first:
- 2θ = 33.83°, rel. 100, (1 1 3)
- 2θ = 22.68°, rel. 60, (0 2 0)
- 2θ = 25.98°, rel. 49, (1 1 1)
- 2θ = 47.46°, rel. 37, (1 3 3)
- 2θ = 15.01°, rel. 32, (0 0 2)
- 2θ = 27.31°, rel. 24, (0 2 2)
- 2θ = 46.08°, rel. 18, (0 0 6)
- 2θ = 50.97°, rel. 17, (2 2 0)
- 2θ = 52.00°, rel. 15, (0 2 6)
- 2θ = 41.90°, rel. 14, (1 3 1)

Cell lengths 4.029, 7.841, 11.807 Å; angles 90.00, 90.00, 90.00 degrees
Space group F222 (No. 22)
Unique sites:
Be (0.000, 0.000, 0.187)
Sb (0.250, 0.250, 0.085)
H (0.250, 0.095, 0.750)


[5]
Calculated PXRD pattern
Compound: BeSbH
Radiation: Cu Kα, 1.54184 Å
Structure: a cell relaxed with PBE

Principal peaks in the range 10 to 90 degrees two-theta, most intense first:
- 2θ = 17.92°, rel. 100, (0 1 0)
- 2θ = 33.99°, rel. 88, (1 1 1)
- 2θ = 28.64°, rel. 66, (1 0 1)
- 2θ = 46.88°, rel. 34, (1 2 1)
- 2θ = 41.91°, rel. 21, (2 1 0)
- 2θ = 36.30°, rel. 20, (0 2 0)
- 2θ = 47.98°, rel. 18, (0 1 2)
- 2θ = 62.46°, rel. 14, (2 1 2)
- 2θ = 63.84°, rel. 14, (1 3 1)
- 2θ = 37.56°, rel. 12, (2 0 0)

Cell lengths 4.790, 4.949, 4.105 Å; angles 90.00, 90.00, 90.00 degrees
Space group P222_1 (No. 17)
Unique sites:
Be (0.000, 0.127, 0.250)
Sb (0.291, 0.500, 0.500)
H (0.168, 0.000, 0.000)